Calculated X-ray diffraction stick pattern of Th5Ni2Se2 for Cu Kα X-rays, from a crystal structure in Alexandria, relaxed with GGA-PBE.

Peak list (12 most intense, 15 to 90 degrees two-theta, low angle first)
2theta	d (Å)	I_rel
24.68	3.607	490
27.78	3.212	630
31.93	2.803	801
32.53	2.753	1000
32.98	2.716	301
33.93	2.642	406
34.36	2.610	845
35.08	2.558	812
39.78	2.266	485
40.54	2.225	329
50.58	1.805	290
59.51	1.553	287

Atomic structure:
Cell lengths 8.6373, 8.6373, 7.1493 Å; angles 90.00, 90.00, 57.86 degrees
Positions (direct):
1 Th 0.0000 0.0000 0.0000
2 Th 0.0456 0.6934 0.6484
3 Th 0.1934 0.5456 0.1484
4 Th 0.3066 0.9544 0.6484
5 Th 0.4544 0.8066 0.1484
6 Th 0.5000 0.5000 0.5000
7 Th 0.5456 0.1934 0.8516
8 Th 0.6934 0.0456 0.3516
9 Th 0.8066 0.4544 0.8516
10 Th 0.9544 0.3066 0.3516
11 Ni 0.1088 0.8912 0.3609
12 Ni 0.3912 0.6088 0.8609
13 Ni 0.6088 0.3912 0.1391
14 Ni 0.8912 0.1088 0.6391
15 Se 0.2013 0.2013 0.0000
16 Se 0.2987 0.2987 0.5000
17 Se 0.7013 0.7013 0.5000
18 Se 0.7987 0.7987 0.0000

***

Calculated X-ray diffraction stick pattern of ThNiSe for Cu Kα X-rays, from a crystal structure in Alexandria, relaxed with GGA-PBE.

Peak list (12 most intense, 15 to 90 degrees two-theta, low angle first)
2theta	d (Å)	I_rel
16.45	5.388	297
24.74	3.599	1000
31.24	2.863	463
31.47	2.843	968
33.14	2.703	388
33.37	2.685	207
37.10	2.423	196
37.38	2.406	346
39.40	2.287	286
43.27	2.091	858
54.36	1.688	343
68.61	1.368	246

Atomic structure:
Cell lengths 4.1828, 4.1828, 11.0651 Å; angles 101.36, 101.36, 59.97 degrees
Positions (direct):
1 Th 0.0612 0.0612 0.1757
2 Th 0.9388 0.9388 0.8243
3 Ni 0.3393 0.3393 0.0170
4 Ni 0.6607 0.6607 0.9830
5 Se 0.2191 0.2191 0.6720
6 Se 0.7809 0.7809 0.3280

***

Calculated X-ray diffraction stick pattern of TiNiSe2 for Cu Kα X-rays, from a crystal structure in Alexandria, relaxed with GGA-PBE.

Peak list (12 most intense, 15 to 90 degrees two-theta, low angle first)
2theta	d (Å)	I_rel
25.32	3.518	342
26.67	3.342	427
28.91	3.088	660
29.89	2.989	837
30.41	2.940	650
37.14	2.421	341
38.80	2.321	1000
39.74	2.268	593
45.81	1.981	466
47.20	1.925	971
51.86	1.763	494
54.21	1.692	360

Atomic structure:
Cell lengths 7.9367, 6.1759, 7.7059 Å; angles 90.00, 117.57, 90.00 degrees
Positions (direct):
1 Ti 0.0297 0.0291 0.3152
2 Ti 0.0297 0.4709 0.8152
3 Ti 0.9703 0.5291 0.1848
4 Ti 0.9703 0.9709 0.6848
5 Ni 0.1135 0.6478 0.5632
6 Ni 0.1135 0.8522 0.0632
7 Ni 0.8865 0.1478 0.9368
8 Ni 0.8865 0.3522 0.4368
9 Se 0.2008 0.2416 0.6471
10 Se 0.2008 0.2584 0.1471
11 Se 0.2902 0.7434 0.3940
12 Se 0.2902 0.7566 0.8940
13 Se 0.7098 0.2434 0.1060
14 Se 0.7098 0.2566 0.6060
15 Se 0.7992 0.7416 0.8529
16 Se 0.7992 0.7584 0.3529

***

Calculated X-ray diffraction stick pattern of TiNi2Se4 for Cu Kα X-rays, from a crystal structure in Alexandria, relaxed with GGA-PBE.

Peak list (12 most intense, 15 to 90 degrees two-theta, low angle first)
2theta	d (Å)	I_rel
18.55	4.783	480
26.49	3.365	188
32.44	2.760	1000
37.59	2.393	190
37.70	2.386	335
50.54	1.806	488
50.65	1.802	253
54.54	1.683	106
57.81	1.595	310
61.28	1.513	132
71.18	1.325	103
89.27	1.097	111

Atomic structure:
Cell lengths 5.8503, 5.8503, 5.8503 Å; angles 109.32, 109.32, 109.77 degrees
Positions (direct):
1 Ti 0.0000 0.0000 0.0000
2 Ni 0.2500 0.7500 0.5000
3 Ni 0.7500 0.2500 0.5000
4 Se 0.1686 0.3291 0.4977
5 Se 0.3291 0.8314 0.1606
6 Se 0.6709 0.1686 0.8394
7 Se 0.8314 0.6709 0.5023